Entry 1:
Tl2Pt: theoretical X-ray powder pattern (Cu Kα (weighted mean of Kα1 and Kα2)), based on DFT lattice parameters and positions (GGA-PBE).
Lines closer than 0.1° are merged.

Crystal structure
```
Tl2Pt
1.0
-3.521 3.521 2.840
3.521 -3.521 2.840
3.521 3.521 -2.840
Tl Pt
4 2
Direct
0.161 0.661 0.821 Tl
0.339 0.161 0.500 Tl
0.661 0.839 0.500 Tl
0.839 0.339 0.179 Tl
0.250 0.250 0.000 Pt
0.750 0.750 0.000 Pt
```

Largest 6 diffraction maxima, by angle, 2θ = 15–90°:
| 2theta | intensity |
| --- | --- |
| 32.51 | 100.0 |
| 36.42 | 37.1 |
| 40.51 | 48.5 |
| 40.82 | 39.0 |
| 56.72 | 21.1 |
| 65.09 | 25.9 |



Entry 2:
TlPt: theoretical X-ray powder pattern (Cu Kα (weighted mean of Kα1 and Kα2)), based on DFT lattice parameters and positions (GGA-PBE).
Lines closer than 0.1° are merged.

Crystal structure
```
TlPt
1.0
6.758 0.000 0.000
-3.379 5.853 0.000
0.000 0.000 3.852
Tl Pt
3 3
Direct
0.000 0.500 0.000 Tl
0.500 0.000 0.000 Tl
0.500 0.500 0.000 Tl
0.000 0.000 0.000 Pt
0.333 0.667 0.500 Pt
0.667 0.333 0.500 Pt
```

Largest 6 diffraction maxima, by angle, 2θ = 15–90°:
| 2theta | intensity |
| --- | --- |
| 15.14 | 20.3 |
| 30.55 | 34.6 |
| 35.34 | 20.2 |
| 38.64 | 100.0 |
| 54.30 | 27.1 |
| 74.75 | 21.3 |